Diffraction record for K3In3Pb8. The powder diffraction line list is computed, not measured: it uses a structure optimized by DFT (PBE) and Cu Ka.
No peak broadening, texture or thermal motion is included.

Crystal structure
```
data_K3In3Pb8
_space_group_name_H-M_alt 'I m m m'
_space_group_IT_number 71
_space_group_name_Hall '-I 2 2'
_cell_length_a 5.4541
_cell_length_b 11.7053
_cell_length_c 14.7053
_cell_angle_alpha 90.00
_cell_angle_beta 90.00
_cell_angle_gamma 90.00
loop_
_atom_site_label
_atom_site_type_symbol
_atom_site_fract_x
_atom_site_fract_y
_atom_site_fract_z
K1 K 0.0000 0.0000 0.0000
K2 K 0.0000 0.0000 0.2775
In1 In 0.0000 0.1416 0.5000
In2 In 0.0000 0.5000 0.0000
Pb1 Pb 0.0000 0.2933 0.1522
Pb2 Pb 0.0000 0.3553 0.3729
```

Most intense lines, 15° ≤ 2θ ≤ 90°, sorted by position:
2θ/deg	d [Å]	I_rel	index
28.12	3.173	66	1 3 0
28.85	3.094	58	1 2 3
30.30	2.950	55	1 1 4
32.84	2.727	77	2 0 0
35.34	2.540	66	1 4 1
37.44	2.402	100	1 3 4

Diffraction record for K5InPb8. The powder diffraction line list is computed, not measured: it uses a structure optimized by DFT (PBE) and Cu Ka.
No peak broadening, texture or thermal motion is included.

Crystal structure
```
data_K5InPb8
_space_group_name_H-M_alt 'R -3 m'
_space_group_IT_number 166
_space_group_name_Hall '-R 3 2"'
_cell_length_a 6.9959
_cell_length_b 6.9959
_cell_length_c 38.4216
_cell_angle_alpha 90.00
_cell_angle_beta 90.00
_cell_angle_gamma 120.00
loop_
_atom_site_label
_atom_site_type_symbol
_atom_site_fract_x
_atom_site_fract_y
_atom_site_fract_z
K1 K 0.0000 0.0000 0.0000
K2 K 0.0000 0.0000 0.1810
K3 K 0.0000 0.0000 0.2792
In1 In 0.0000 0.0000 0.5000
Pb1 Pb 0.0000 0.0000 0.3707
Pb2 Pb 0.0151 0.5076 0.2328
```

Most intense lines, 15° ≤ 2θ ≤ 90°, sorted by position:
2θ/deg	d [Å]	I_rel	index
15.33	5.778	49	0 1 2
17.30	5.124	60	1 0 4
29.86	2.992	82	2 0 2
33.11	2.706	52	1 1 9
33.79	2.653	67	0 2 7
35.02	2.562	100	0 0 15

Diffraction record for K2InPb5. The powder diffraction line list is computed, not measured: it uses a structure optimized by DFT (PBE) and Cu Ka.
No peak broadening, texture or thermal motion is included.

Crystal structure
```
data_K2InPb5
_space_group_name_H-M_alt 'P 4/m m m'
_space_group_IT_number 123
_space_group_name_Hall '-P 4 2'
_cell_length_a 7.3739
_cell_length_b 7.3739
_cell_length_c 5.9519
_cell_angle_alpha 90.00
_cell_angle_beta 90.00
_cell_angle_gamma 90.00
loop_
_atom_site_label
_atom_site_type_symbol
_atom_site_fract_x
_atom_site_fract_y
_atom_site_fract_z
K1 K 0.0000 0.5000 0.0000
In1 In 0.0000 0.0000 0.5000
Pb1 Pb 0.0000 0.0000 0.0000
Pb2 Pb 0.2889 0.2889 0.5000
```

Most intense lines, 15° ≤ 2θ ≤ 90°, sorted by position:
2θ/deg	d [Å]	I_rel	index
19.16	4.631	26	1 0 1
27.04	3.298	35	2 1 0
28.48	3.134	100	2 0 1
30.03	2.976	41	0 0 2
34.40	2.607	42	2 2 0
46.30	1.961	37	2 2 2

Copy entry 2 word for word.
Diffraction record for K5InPb8. The powder diffraction line list is computed, not measured: it uses a structure optimized by DFT (PBE) and Cu Ka.
No peak broadening, texture or thermal motion is included.

Crystal structure
```
data_K5InPb8
_space_group_name_H-M_alt 'R -3 m'
_space_group_IT_number 166
_space_group_name_Hall '-R 3 2"'
_cell_length_a 6.9959
_cell_length_b 6.9959
_cell_length_c 38.4216
_cell_angle_alpha 90.00
_cell_angle_beta 90.00
_cell_angle_gamma 120.00
loop_
_atom_site_label
_atom_site_type_symbol
_atom_site_fract_x
_atom_site_fract_y
_atom_site_fract_z
K1 K 0.0000 0.0000 0.0000
K2 K 0.0000 0.0000 0.1810
K3 K 0.0000 0.0000 0.2792
In1 In 0.0000 0.0000 0.5000
Pb1 Pb 0.0000 0.0000 0.3707
Pb2 Pb 0.0151 0.5076 0.2328
```

Most intense lines, 15° ≤ 2θ ≤ 90°, sorted by position:
2θ/deg	d [Å]	I_rel	index
15.33	5.778	49	0 1 2
17.30	5.124	60	1 0 4
29.86	2.992	82	2 0 2
33.11	2.706	52	1 1 9
33.79	2.653	67	0 2 7
35.02	2.562	100	0 0 15